For ThCuGe2Pt4, a crystal structure in Alexandria, relaxed with GGA-PBE gives the calculated XRD peak list in this record (λ = 1.5418 Å (Cu Kα)).
Peak positions follow from Bragg's law for the DFT cell and can differ from measured ones.

Cell and atoms:
Cell: 9.0653 9.0653 9.0653 Å, 27.65 27.65 27.65°
Fractional positions:
1 Th 0.0000 0.0000 0.0000
2 Cu 0.5000 0.5000 0.5000
3 Ge 0.2395 0.2395 0.2395
4 Ge 0.7605 0.7605 0.7605
5 Pt 0.1354 0.1354 0.1354
6 Pt 0.4002 0.4002 0.4002
7 Pt 0.5998 0.5998 0.5998
8 Pt 0.8646 0.8646 0.8646

Peak list (12 most intense, 10 to 80 degrees two-theta, by intensity)
2θ 41.7, I 100
2θ 36.5, I 75
2θ 33.9, I 39
2θ 29.3, I 30
2θ 45.2, I 22
2θ 56.6, I 21
2θ 72.7, I 20
2θ 69.2, I 20
2θ 76.1, I 17
2θ 24.7, I 12
2θ 27.4, I 12
2θ 54.8, I 10